1.
# Nd2AlB2Ru5
Simulated PXRD pattern, Cu Kα (weighted mean of Kα1 and Kα2). Input: a structure optimized by DFT (GGA-PBE).
Peak positions follow from Bragg's law for the DFT cell and can differ from measured ones.

Most intense lines, 2θ from 10° to 90°, in order of rising 2θ:
h k l  2theta  I/Imax
2 0 1  33.86  200
2 1 1  35.13  969
4 1 0  38.13  1000
2 2 1  38.72  290
3 3 0  39.29  319
3 1 1  40.97  786
4 2 0  41.51  277
3 2 1  44.16  339
5 4 1  68.54  242
4 1 2  72.00  302

Cell and atoms:
a = 9.730 Å, b = 9.730 Å, c = 3.155 Å
α = 90.00°, β = 90.00°, γ = 90.00°
Space group P4/mbm (No. 127)
Symmetry-distinct sites (fractional):
Nd (0.177, 0.323, 0.000) (multiplicity 4)
Al (0.000, 0.000, 0.000) (multiplicity 2)
B (0.123, 0.623, 0.000) (multiplicity 4)
Ru (0.000, 0.500, 0.500) (multiplicity 2)
Ru (0.068, 0.780, 0.500) (multiplicity 8)

2.
# AlNi9B8
Simulated PXRD pattern, Cu Kα (weighted mean of Kα1 and Kα2). Input: a structure optimized by DFT (GGA-PBE).
Peak positions follow from Bragg's law for the DFT cell and can differ from measured ones.

Most intense lines, 2θ from 10° to 90°, in order of rising 2θ:
h k l  2theta  I/Imax
2 0 2  30.00  555
1 1 4  37.36  498
3 1 0  39.46  494
3 1 1  40.39  437
2 2 3  42.09  1000
1 3 3  43.84  352
0 4 1  45.62  567
2 2 4  47.88  995
4 0 0  51.20  474
0 4 3  51.91  360

Cell and atoms:
a = 7.137 Å, b = 8.093 Å, c = 10.781 Å
α = 90.00°, β = 90.00°, γ = 90.00°
Space group Cmcm (No. 63)
Symmetry-distinct sites (fractional):
Al (0.000, 0.087, 0.250) (multiplicity 4)
Ni (0.000, 0.000, 0.000) (multiplicity 4)
Ni (0.000, 0.290, 0.081) (multiplicity 8)
Ni (0.192, 0.431, 0.614) (multiplicity 16)
Ni (0.222, 0.172, 0.750) (multiplicity 8)
B (0.000, 0.220, 0.620) (multiplicity 8)
B (0.000, 0.353, 0.750) (multiplicity 4)
B (0.000, 0.432, 0.250) (multiplicity 4)
B (0.211, 0.171, 0.551) (multiplicity 16)

3.
# AlNi20B14
Simulated PXRD pattern, Cu Kα (weighted mean of Kα1 and Kα2). Input: a structure optimized by DFT (GGA-PBE).
Peak positions follow from Bragg's law for the DFT cell and can differ from measured ones.

Most intense lines, 2θ from 10° to 90°, in order of rising 2θ:
h k l  2theta  I/Imax
2 2 0  23.57  122
4 0 0  33.58  224
4 2 2  41.44  108
3 3 3  44.08  1000
4 4 0  48.23  120
5 3 1  50.59  409
6 0 0  51.36  291
6 6 0  75.58  145
5 5 5  77.43  133
8 4 0  80.47  135

Cell and atoms:
a = 10.675 Å, b = 10.675 Å, c = 10.675 Å
α = 90.00°, β = 90.00°, γ = 90.00°
Space group Fm-3m (No. 225)
Symmetry-distinct sites (fractional):
Al (0.000, 0.000, 0.000) (multiplicity 4)
Ni (0.000, 0.167, 0.167) (multiplicity 48)
Ni (0.122, 0.122, 0.378) (multiplicity 32)
B (0.000, 0.000, 0.277) (multiplicity 24)
B (0.190, 0.190, 0.190) (multiplicity 32)

4.
# Al3Ni20B6
Simulated PXRD pattern, Cu Kα (weighted mean of Kα1 and Kα2). Input: a structure optimized by DFT (GGA-PBE).
Peak positions follow from Bragg's law for the DFT cell and can differ from measured ones.

Most intense lines, 2θ from 10° to 90°, in order of rising 2θ:
h k l  2theta  I/Imax
4 0 0  34.20  139
4 2 0  38.38  205
4 2 2  42.21  154
3 3 3  44.91  1000
4 4 0  49.14  144
5 3 1  51.55  365
6 0 0  52.34  169
6 6 0  77.17  175
5 5 5  79.07  118
9 1 1  84.08  96

Cell and atoms:
a = 10.489 Å, b = 10.489 Å, c = 10.489 Å
α = 90.00°, β = 90.00°, γ = 90.00°
Space group Fm-3m (No. 225)
Symmetry-distinct sites (fractional):
Al (0.000, 0.000, 0.000) (multiplicity 4)
Al (0.250, 0.250, 0.250) (multiplicity 8)
Ni (0.000, 0.169, 0.169) (multiplicity 48)
Ni (0.117, 0.117, 0.383) (multiplicity 32)
B (0.000, 0.000, 0.273) (multiplicity 24)